This entry pairs a crystal structure of NaS2NO4F2 with its calculated X-ray powder pattern. Radiation: Cu Kα X-rays. Structure: a cell relaxed with GGA-PBE.
Kinematic intensities with the Lorentz-polarization factor, no thermal factor.

Largest 6 diffraction maxima, by angle, 15° ≤ 2θ ≤ 90°:
d [Å]  two_theta  I (rel.)
5.723  15.48  44
4.662  19.04  70
4.363  20.36  70
3.991  22.28  82
3.377  26.39  95
3.185  28.02  100

Cell and atoms:
```
data_NaS2NO4F2
_cell_length_a 7.562
_cell_length_b 9.323
_cell_length_c 9.211
_cell_angle_alpha 90.00
_cell_angle_beta 106.51
_cell_angle_gamma 90.00
_symmetry_space_group_name_H-M 'P 1'
_symmetry_Int_Tables_number 1
loop_
_symmetry_equiv_pos_as_xyz
'x,y,z'
loop_
_atom_site_label
_atom_site_type_symbol
_atom_site_fract_x
_atom_site_fract_y
_atom_site_fract_z
Na1 Na 0.245 0.016 0.432
Na2 Na 0.245 0.484 0.932
Na3 Na 0.755 0.516 0.068
Na4 Na 0.755 0.984 0.568
S1 S 0.136 0.725 0.612
S2 S 0.136 0.775 0.112
S3 S 0.479 0.219 0.770
S4 S 0.479 0.281 0.270
S5 S 0.521 0.719 0.730
S6 S 0.521 0.781 0.230
S7 S 0.864 0.225 0.888
S8 S 0.864 0.275 0.388
N1 N 0.334 0.706 0.140
N2 N 0.334 0.794 0.640
N3 N 0.666 0.206 0.360
N4 N 0.666 0.294 0.860
O1 O 0.004 0.664 0.051
O2 O 0.004 0.836 0.551
O3 O 0.107 0.634 0.729
O4 O 0.107 0.866 0.229
O5 O 0.332 0.180 0.258
O6 O 0.332 0.320 0.758
O7 O 0.483 0.138 0.638
O8 O 0.483 0.362 0.138
O9 O 0.517 0.638 0.862
O10 O 0.517 0.862 0.362
O11 O 0.668 0.680 0.242
O12 O 0.668 0.820 0.742
O13 O 0.893 0.134 0.771
O14 O 0.893 0.366 0.271
O15 O 0.996 0.164 0.449
O16 O 0.996 0.336 0.949
F1 F 0.124 0.619 0.473
F2 F 0.124 0.881 0.973
F3 F 0.449 0.099 0.886
F4 F 0.449 0.401 0.386
F5 F 0.551 0.599 0.614
F6 F 0.551 0.901 0.114
F7 F 0.876 0.119 0.027
F8 F 0.876 0.381 0.527
```